# 1
This entry pairs a crystal structure of Li3Mn4P6O24 with its theoretical powder diffractogram. Radiation: copper Kα. Structure: the PBE+U geometry in the Materials Project.

Structural model:
Unit cell a=11.663 b=12.673 c=6.239 alpha=90.00 beta=112.49 gamma=90.00
Space group C2 (No. 5)
Inequivalent atoms, fractional coordinates:
1 Li 0.000 0.000 0.000 x2
2 Li 0.000 0.507 0.249 x4
3 Mn 0.217 0.848 0.883 x4
4 Mn 0.218 0.167 0.385 x4
5 P 0.000 0.284 0.000 x2
6 P 0.000 0.730 0.500 x2
7 P 0.247 0.102 0.890 x4
8 P 0.248 0.912 0.387 x4
9 O 0.048 0.213 0.220 x4
10 O 0.048 0.799 0.722 x4
11 O 0.100 0.361 0.979 x4
12 O 0.100 0.653 0.479 x4
13 O 0.119 0.442 0.547 x4
14 O 0.121 0.570 0.049 x4
15 O 0.162 0.004 0.870 x4
16 O 0.162 0.012 0.342 x4
17 O 0.188 0.844 0.163 x4
18 O 0.189 0.167 0.664 x4
19 O 0.231 0.838 0.578 x4
20 O 0.232 0.179 0.079 x4

Main lines, by angle (15 to 90 degrees two-theta):
2θ 16.01, I = 39.1, (1 1 -1); 2θ 16.45, I = 100.0, (2 0 0); 2θ 24.68, I = 12.8, (3 1 -1); 2θ 25.57, I = 23.0, (1 3 -1); 2θ 25.78, I = 12.8, (3 1 0); 2θ 29.71, I = 46.7, (1 1 -2); 2θ 32.26, I = 42.9, (0 4 1); 2θ 32.78, I = 40.7, (2 4 0); 2θ 33.26, I = 12.2, (4 0 0); 2θ 35.93, I = 16.3, (1 3 -2)

=====

# 2
This entry pairs a crystal structure of KCoO2 with its theoretical powder diffractogram. Radiation: copper Kα. Structure: the PBE+U geometry in the Materials Project.

Structural model:
Unit cell a=5.835 b=5.835 c=7.064 alpha=90.00 beta=90.00 gamma=90.00
Space group I-4 (No. 82)
Inequivalent atoms, fractional coordinates:
1 K 0.000 0.000 0.000 x2
2 K 0.000 0.500 0.250 x2
3 Co 0.000 0.000 0.500 x2
4 Co 0.000 0.500 0.750 x2
5 O 0.124 0.230 0.653 x8

Main lines, by angle (15 to 90 degrees two-theta):
2θ 19.73, I = 25.1, (1 0 1); 2θ 30.64, I = 43.8, (2 0 0); 2θ 33.39, I = 100.0, (1 1 2); 2θ 43.89, I = 21.3, (2 2 0); 2θ 56.25, I = 39.8, (3 1 2); 2θ 61.36, I = 17.5, (2 0 4); 2θ 63.81, I = 6.1, (4 0 0); 2θ 70.15, I = 9.3, (2 2 4); 2θ 72.44, I = 10.6, (2 4 0); 2θ 73.96, I = 7.7, (3 3 2)

=====

# 3
This entry pairs a crystal structure of TiFe2O4 with its theoretical powder diffractogram. Radiation: copper Kα. Structure: the PBE+U geometry in the Materials Project.

Structural model:
Unit cell a=6.031 b=6.045 c=6.132 alpha=118.81 beta=118.67 gamma=91.20
Space group P1 (No. 1)
Inequivalent atoms, fractional coordinates:
1 Ti 0.000 0.000 0.000 x1
2 Ti 0.005 0.499 0.000 x1
3 Fe 0.002 0.999 0.498 x1
4 Fe 0.368 0.614 0.729 x1
5 Fe 0.503 0.998 0.499 x1
6 Fe 0.639 0.386 0.273 x1
7 O 0.221 0.727 0.438 x1
8 O 0.221 0.752 0.995 x1
9 O 0.223 0.252 0.997 x1
10 O 0.227 0.208 0.441 x1
11 O 0.779 0.790 0.559 x1
12 O 0.780 0.272 0.561 x1
13 O 0.780 0.745 0.000 x1
14 O 0.781 0.245 0.001 x1

Main lines, by angle (15 to 90 degrees two-theta):
2θ 17.75, I = 25.1, (1 0 -1); 2θ 28.81, I = 33.0, (1 -1 1); 2θ 29.13, I = 31.8, (1 1 -2); 2θ 29.58, I = 32.6, (0 2 -1); 2θ 33.63, I = 97.5, (0 1 -2); 2θ 34.45, I = 99.6, (-2 1 1); 2θ 35.00, I = 100.0, (2 1 -2); 2θ 53.63, I = 33.8, (0 1 -3); 2θ 55.29, I = 26.2, (2 -3 0); 2θ 59.68, I = 45.0, (2 -2 2)

=====

# 4
This entry pairs a crystal structure of KLiMoO4 with its theoretical powder diffractogram. Radiation: copper Kα. Structure: the PBE+U geometry in the Materials Project.

Structural model:
Unit cell a=6.0127 b=6.0127 c=9.9164 alpha=90.00 beta=90.00 gamma=120.00
Space group P6_3mc (No. 186)
Inequivalent atoms, fractional coordinates:
1 K 0.0000 0.0000 0.0000 x2
2 Li 0.3333 0.6667 0.1825 x2
3 Mo 0.3333 0.6667 0.8049 x2
4 O 0.0092 0.5046 0.7457 x6
5 O 0.3333 0.6667 0.9868 x2

Main lines, by angle (15 to 90 degrees two-theta):
2θ 17.03, I = 10.9, (1 0 0); 2θ 17.89, I = 20.8, (0 0 2); 2θ 19.25, I = 100.0, (1 0 1); 2θ 24.80, I = 58.3, (1 0 2); 2θ 29.72, I = 42.2, (1 1 0); 2θ 32.07, I = 18.3, (1 0 3); 2θ 35.65, I = 19.5, (2 0 1); 2θ 47.07, I = 15.9, (2 1 1); 2θ 47.54, I = 11.5, (1 1 4); 2θ 49.85, I = 15.0, (2 1 2)

=====

# 5
This entry pairs a crystal structure of KEuV4O12 with its theoretical powder diffractogram. Radiation: copper Kα. Structure: the PBE+U geometry in the Materials Project.

Structural model:
Unit cell a=7.385 b=7.404 c=8.649 alpha=90.00 beta=90.00 gamma=90.00
Space group Amm2 (No. 38)
Inequivalent atoms, fractional coordinates:
1 K 0.000 0.000 0.000 x2
2 Eu 0.500 0.000 0.475 x2
3 V 0.249 0.246 0.735 x8
4 O 0.000 0.247 0.767 x4
5 O 0.251 0.000 0.283 x4
6 O 0.261 0.243 0.543 x8
7 O 0.266 0.000 0.772 x4
8 O 0.500 0.237 0.289 x4

Main lines, by angle (15 to 90 degrees two-theta):
2θ 15.76, I = 29.3, (0 1 1); 2θ 19.84, I = 100.0, (1 1 1); 2θ 31.84, I = 99.4, (2 0 2); 2θ 34.30, I = 36.1, (2 2 0); 2θ 35.56, I = 21.8, (1 1 3); 2θ 39.94, I = 32.4, (3 1 1); 2θ 41.78, I = 21.5, (0 0 4); 2θ 49.22, I = 22.7, (0 4 0); 2θ 55.12, I = 18.9, (2 2 4); 2θ 59.89, I = 31.0, (4 2 2)

=====

# 6
This entry pairs a crystal structure of Mn2V3NiO8 with its theoretical powder diffractogram. Radiation: copper Kα. Structure: the PBE+U geometry in the Materials Project.

Structural model:
Unit cell a=6.0998 b=6.0998 c=14.9885 alpha=90.00 beta=90.00 gamma=120.00
Space group R-3m (No. 166, hexagonal axes)
Inequivalent atoms, fractional coordinates:
1 Mn 0.0000 0.0000 0.1235 x6
2 V 0.0000 0.5000 0.0000 x9
3 Ni 0.0000 0.0000 0.5000 x3
4 O 0.0000 0.0000 0.2627 x6
5 O 0.0301 0.5150 0.2584 x18

Main lines, by angle (15 to 90 degrees two-theta):
2θ 17.79, I = 11.9, (1 0 1); 2θ 29.26, I = 32.0, (1 1 0); 2θ 34.44, I = 100.0, (0 1 5); 2θ 41.84, I = 21.3, (0 2 4); 2θ 55.22, I = 7.9, (0 2 7); 2θ 55.30, I = 30.3, (1 2 5); 2θ 60.59, I = 23.0, (2 0 8); 2θ 60.73, I = 23.6, (2 2 0); 2θ 71.71, I = 7.5, (3 1 5); 2θ 86.67, I = 8.8, (4 1 3)

=====

# 7
This entry pairs a crystal structure of SrSmMnSnO6 with its theoretical powder diffractogram. Radiation: copper Kα. Structure: the PBE+U geometry in the Materials Project.

Structural model:
Unit cell a=8.028 b=8.028 c=8.028 alpha=90.00 beta=90.00 gamma=90.00
Space group F-43m (No. 216)
Inequivalent atoms, fractional coordinates:
1 Sr 0.000 0.000 0.000 x4
2 Sm 0.000 0.000 0.500 x4
3 Mn 0.250 0.250 0.250 x4
4 Sn 0.250 0.250 0.750 x4
5 O 0.003 0.250 0.250 x24

Main lines, by angle (15 to 90 degrees two-theta):
2θ 19.15, I = 11.4, (1 1 1); 2θ 31.52, I = 100.0, (2 2 0); 2θ 37.14, I = 7.2, (3 1 1); 2θ 38.86, I = 6.4, (2 2 2); 2θ 45.18, I = 32.5, (4 0 0); 2θ 49.49, I = 3.5, (3 3 1); 2θ 56.13, I = 39.9, (4 2 2); 2θ 65.81, I = 19.8, (4 4 0); 2θ 74.80, I = 17.5, (6 2 0); 2θ 83.41, I = 6.7, (4 4 4)

=====

# 8
This entry pairs a crystal structure of CaCrGe2O6 with its theoretical powder diffractogram. Radiation: copper Kα. Structure: the PBE+U geometry in the Materials Project.

Structural model:
Unit cell a=5.484 b=6.830 c=7.234 alpha=83.94 beta=77.84 gamma=79.40
Space group P-1 (No. 2)
Inequivalent atoms, fractional coordinates:
1 Ca 0.247 0.307 0.200 x2
2 Cr 0.257 0.906 0.593 x2
3 Ge 0.223 0.817 0.116 x2
4 Ge 0.283 0.381 0.693 x2
5 O 0.028 0.325 0.888 x2
6 O 0.121 0.993 0.287 x2
7 O 0.162 0.621 0.614 x2
8 O 0.359 0.885 0.887 x2
9 O 0.362 0.200 0.523 x2
10 O 0.462 0.609 0.186 x2

Main lines, by angle (15 to 90 degrees two-theta):
2θ 25.22, I = 25.9, (1 -1 1); 2θ 27.52, I = 74.5, (1 0 2); 2θ 27.75, I = 32.7, (0 1 2); 2θ 28.70, I = 24.6, (0 2 1); 2θ 29.10, I = 64.5, (1 2 0); 2θ 32.63, I = 30.2, (1 -1 2); 2θ 33.18, I = 48.8, (1 0 -2); 2θ 33.86, I = 25.5, (1 2 -1); 2θ 33.95, I = 100.0, (2 0 0); 2θ 54.70, I = 18.3, (3 2 0)

=====

# 9
This entry pairs a crystal structure of Li2CrFe2O6 with its theoretical powder diffractogram. Radiation: copper Kα. Structure: the PBE+U geometry in the Materials Project.

Structural model:
Unit cell a=6.685 b=6.692 c=8.374 alpha=71.30 beta=71.23 gamma=82.99
Space group P-1 (No. 2)
Inequivalent atoms, fractional coordinates:
1 Li 0.000 0.167 0.330 x2
2 Li 0.337 0.499 0.668 x2
3 Li 0.338 0.165 0.998 x2
4 Cr 0.000 0.168 0.833 x2
5 Cr 0.000 0.500 0.500 x1
6 Fe 0.332 0.501 0.165 x2
7 Fe 0.333 0.834 0.834 x2
8 Fe 0.334 0.163 0.500 x2
9 O 0.011 0.511 0.267 x2
10 O 0.019 0.184 0.582 x2
11 O 0.020 0.854 0.914 x2
12 O 0.312 0.482 0.423 x2
13 O 0.314 0.145 0.757 x2
14 O 0.323 0.824 0.065 x2
15 O 0.341 0.842 0.604 x2
16 O 0.351 0.520 0.911 x2
17 O 0.354 0.185 0.244 x2

Main lines, by angle (15 to 90 degrees two-theta):
2θ 18.01, I = 100.0, (1 1 1); 2θ 35.56, I = 36.0, (0 0 3); 2θ 37.25, I = 6.4, (2 -1 2); 2θ 42.84, I = 42.8, (3 0 0); 2θ 43.22, I = 20.6, (1 1 4); 2θ 47.13, I = 7.1, (0 3 3); 2θ 62.19, I = 10.8, (4 1 4); 2θ 62.78, I = 11.4, (1 -2 4); 2θ 62.92, I = 5.8, (3 -3 0); 2θ 66.06, I = 6.6, (4 -2 1)